# Mg5Zn4Pb
Theoretical X-ray diffraction stick pattern, Cu Kα (λ = 1.5418 Å). Input: the PBE geometry in Alexandria.
Intensities are scaled so that the largest is 100.

Top 10 peaks for 2θ = 10–90°, low angle first:
(0 0 2), 10.39 deg, I = 11; (0 0 3), 15.61 deg, I = 10; (1 0 0), 26.20 deg, I = 49; (1 0 3), 30.65 deg, I = 12; (1 0 4), 33.74 deg, I = 18; (1 1 0), 37.39 deg, I = 100; (1 1 5), 46.23 deg, I = 13; (2 0 0), 53.94 deg, I = 14; (2 0 5), 60.88 deg, I = 10; (2 1 5), 67.45 deg, I = 25

Structure:
Lattice parameters (Å, degrees): 3.400 3.400 17.029 90.00 90.00 90.00
Atoms (fractional coordinates):
Mg: 0.000 0.000 0.000
Mg: 0.000 0.000 0.183
Mg: 0.000 0.000 0.368
Mg: 0.000 0.000 0.632
Mg: 0.000 0.000 0.817
Zn: 0.500 0.500 0.093
Zn: 0.500 0.500 0.273
Zn: 0.500 0.500 0.727
Zn: 0.500 0.500 0.907
Pb: 0.500 0.500 0.500